Entry 1:
This entry pairs a crystal structure of TiB4Ru with its theoretical powder diffractogram. Radiation: copper Kα. Structure: a cell relaxed with GGA-PBE.
Kinematic intensities with the Lorentz-polarization factor, no thermal factor.

Structural model:
```
data_TiB4Ru
_cell_length_a 5.8000
_cell_length_b 11.1708
_cell_length_c 3.3623
_cell_angle_alpha 90.00
_cell_angle_beta 90.00
_cell_angle_gamma 90.00
_space_group_name_H-M_alt 'P b a m'
_space_group_IT_number 55
loop_
_space_group_symop_operation_xyz
'x,y,z'
'-x,-y,-z'
'-x,-y,z'
'x,y,-z'
'x+1/2,-y+1/2,-z'
'-x+1/2,y+1/2,z'
'-x+1/2,y+1/2,-z'
'x+1/2,-y+1/2,z'
loop_
_atom_site_label
_atom_site_type_symbol
_atom_site_fract_x
_atom_site_fract_y
_atom_site_fract_z
Ti1 Ti 0.1272 0.1465 0.0000
B1 B 0.0182 0.6980 0.5000
B2 B 0.1181 0.5512 0.5000
B3 B 0.1307 0.9715 0.5000
B4 B 0.1978 0.8129 0.5000
Ru1 Ru 0.1404 0.4043 0.0000
```

Peak list (10 most intense, 5 to 70 degrees two-theta, in order of rising 2θ)
d 5.148, 17.23°, I = 55, (1 1 0); d 4.023, 22.09°, I = 49, (1 2 0); d 3.362, 26.51°, I = 100, (0 0 1); d 2.809, 31.86°, I = 86, (2 1 0); d 2.793, 32.05°, I = 52, (0 4 0); d 2.288, 39.38°, I = 65, (2 3 0); d 2.155, 41.93°, I = 93, (2 1 1); d 2.148, 42.06°, I = 68, (0 4 1); d 2.014, 45.00°, I = 43, (1 4 1); d 1.892, 48.10°, I = 86, (2 3 1)

Entry 2:
This entry pairs a crystal structure of K2Cu3F8 with its theoretical powder diffractogram. Radiation: copper Kα. Structure: a cell relaxed with GGA-PBE.
Kinematic intensities with the Lorentz-polarization factor, no thermal factor.

Structural model:
```
data_K2Cu3F8
_cell_length_a 11.6965
_cell_length_b 6.0156
_cell_length_c 6.1480
_cell_angle_alpha 90.00
_cell_angle_beta 106.59
_cell_angle_gamma 90.00
_space_group_name_H-M_alt 'C 1 2/m 1'
_space_group_IT_number 12
loop_
_space_group_symop_operation_xyz
'x,y,z'
'-x,-y,-z'
'-x,y,-z'
'x,-y,z'
'x+1/2,y+1/2,z'
'-x+1/2,-y+1/2,-z'
'-x+1/2,y+1/2,-z'
'x+1/2,-y+1/2,z'
loop_
_atom_site_label
_atom_site_type_symbol
_atom_site_fract_x
_atom_site_fract_y
_atom_site_fract_z
K1 K 0.2152 0.0000 0.1674
Cu1 Cu 0.0000 0.2493 0.5000
Cu2 Cu 0.0000 0.5000 0.0000
F1 F 0.0860 0.2806 0.8855
F2 F 0.1019 0.5000 0.4541
F3 F 0.1058 0.0000 0.4821
```

Peak list (10 most intense, 5 to 70 degrees two-theta, in order of rising 2θ)
d 5.605, 15.81°, I = 100, (2 0 0); d 3.700, 24.05°, I = 42, (1 1 1); d 3.129, 28.53°, I = 28, (3 1 -1); d 2.982, 29.97°, I = 23, (2 0 -2); d 2.946, 30.34°, I = 35, (0 0 2); d 2.549, 35.21°, I = 35, (2 2 -1); d 2.346, 38.36°, I = 33, (2 0 2); d 2.076, 43.60°, I = 41, (4 2 -1); d 1.822, 50.06°, I = 28, (4 2 1); d 1.691, 54.25°, I = 27, (2 2 -3)

Entry 3:
This entry pairs a crystal structure of La4PrPb3 with its theoretical powder diffractogram. Radiation: copper Kα. Structure: a cell relaxed with GGA-PBE.
Kinematic intensities with the Lorentz-polarization factor, no thermal factor.

Structural model:
```
data_La4PrPb3
_cell_length_a 12.9142
_cell_length_b 12.9142
_cell_length_c 6.4172
_cell_angle_alpha 90.00
_cell_angle_beta 90.00
_cell_angle_gamma 90.00
_space_group_name_H-M_alt 'I 4/m c m'
_space_group_IT_number 140
_space_group_name_Hall '-I 4 2c'
loop_
_atom_site_label
_atom_site_type_symbol
_atom_site_fract_x
_atom_site_fract_y
_atom_site_fract_z
La1 La 0.0846 0.2197 0.0000
Pr1 Pr 0.0000 0.5000 0.2500
Pb1 Pb 0.0000 0.0000 0.2500
Pb2 Pb 0.1603 0.3397 0.5000
```

Peak list (10 most intense, 5 to 70 degrees two-theta, in order of rising 2θ)
d 3.128, 28.54°, I = 46, (3 2 1); d 2.888, 30.97°, I = 72, (4 2 0); d 2.873, 31.13°, I = 62, (2 0 2); d 2.815, 31.79°, I = 100, (4 1 1); d 2.625, 34.15°, I = 32, (2 2 2); d 2.276, 39.60°, I = 24, (4 0 2); d 2.246, 40.14°, I = 30, (5 2 1); d 1.766, 51.75°, I = 26, (4 1 3); d 1.587, 58.12°, I = 19, (5 5 2); d 1.564, 59.06°, I = 33, (6 4 2)

Entry 4:
This entry pairs a crystal structure of PrDyI4 with its theoretical powder diffractogram. Radiation: copper Kα. Structure: a cell relaxed with GGA-PBE.
Kinematic intensities with the Lorentz-polarization factor, no thermal factor.

Structural model:
```
data_PrDyI4
_cell_length_a 7.3156
_cell_length_b 4.1881
_cell_length_c 8.3708
_cell_angle_alpha 90.00
_cell_angle_beta 106.41
_cell_angle_gamma 90.00
_space_group_name_H-M_alt 'P 1 2/m 1'
_space_group_IT_number 10
loop_
_space_group_symop_operation_xyz
'x,y,z'
'-x,-y,-z'
'-x,y,-z'
'x,-y,z'
loop_
_atom_site_label
_atom_site_type_symbol
_atom_site_fract_x
_atom_site_fract_y
_atom_site_fract_z
Pr1 Pr 0.0000 0.0000 0.0000
Dy1 Dy 0.5000 0.5000 0.0000
I1 I 0.2624 0.5000 0.2542
I2 I 0.2642 0.0000 0.7547
```

Peak list (10 most intense, 5 to 70 degrees two-theta, in order of rising 2θ)
d 8.030, 11.02°, I = 65, (0 0 1); d 3.596, 24.76°, I = 20, (1 1 0); d 3.118, 28.63°, I = 100, (1 1 1); d 3.114, 28.67°, I = 50, (2 0 -2); d 2.335, 38.55°, I = 22, (2 0 2); d 2.314, 38.93°, I = 44, (1 1 -3); d 2.107, 42.92°, I = 32, (3 1 -1); d 1.738, 52.68°, I = 18, (2 2 -2); d 1.558, 59.30°, I = 19, (2 2 2); d 1.448, 64.31°, I = 20, (0 2 4)

Entry 5:
This entry pairs a crystal structure of CdGePRuPt with its theoretical powder diffractogram. Radiation: copper Kα. Structure: a cell relaxed with GGA-PBE.
Kinematic intensities with the Lorentz-polarization factor, no thermal factor.

Structural model:
```
data_CdGePRuPt
_cell_length_a 5.2390
_cell_length_b 2.8994
_cell_length_c 5.8399
_cell_angle_alpha 90.00
_cell_angle_beta 104.05
_cell_angle_gamma 90.00
_space_group_name_H-M_alt 'P 1 m 1'
_space_group_IT_number 6
loop_
_space_group_symop_operation_xyz
'x,y,z'
'x,-y,z'
loop_
_atom_site_label
_atom_site_type_symbol
_atom_site_fract_x
_atom_site_fract_y
_atom_site_fract_z
Cd1 Cd 0.0000 0.0000 0.0000
Ge1 Ge 0.6281 0.0000 0.3353
P1 P 0.4079 0.0000 0.6461
Ru1 Ru 0.4846 0.5000 0.9647
Pt1 Pt 0.0287 0.5000 0.5439
```

Peak list (10 most intense, 5 to 70 degrees two-theta, in order of rising 2θ)
d 5.082, 17.45°, I = 24, (1 0 0); d 4.343, 20.45°, I = 50, (1 0 -1); d 2.833, 31.58°, I = 46, (0 0 2); d 2.778, 32.23°, I = 39, (1 0 -2); d 2.581, 34.76°, I = 22, (0 1 1); d 2.541, 35.32°, I = 55, (2 0 0); d 2.411, 37.29°, I = 84, (1 1 -1); d 2.205, 40.93°, I = 100, (1 1 1); d 2.172, 41.59°, I = 20, (2 0 -2); d 1.920, 47.35°, I = 22, (2 1 -1)

Entry 6:
This entry pairs a crystal structure of NaPaBi4O8 with its theoretical powder diffractogram. Radiation: copper Kα. Structure: a cell relaxed with GGA-PBE.
Kinematic intensities with the Lorentz-polarization factor, no thermal factor.

Structural model:
```
data_NaPaBi4O8
_cell_length_a 7.1977
_cell_length_b 7.1977
_cell_length_c 17.4346
_cell_angle_alpha 90.00
_cell_angle_beta 90.00
_cell_angle_gamma 120.00
_space_group_name_H-M_alt 'R 3 m'
_space_group_IT_number 160
_space_group_name_Hall 'R 3 -2"'
loop_
_atom_site_label
_atom_site_type_symbol
_atom_site_fract_x
_atom_site_fract_y
_atom_site_fract_z
Na1 Na 0.0000 0.0000 0.0000
Pa1 Pa 0.0000 0.0000 0.3838
Bi1 Bi 0.0000 0.0000 0.5786
Bi2 Bi 0.0104 0.5052 0.4996
O1 O 0.0000 0.0000 0.2616
O2 O 0.0000 0.0000 0.7724
O3 O 0.1697 0.3395 0.0811
O4 O 0.1888 0.3776 0.5691
```

Peak list (10 most intense, 5 to 70 degrees two-theta, in order of rising 2θ)
d 5.812, 15.25°, I = 33, (0 0 3); d 3.572, 24.93°, I = 36, (1 0 4); d 3.066, 29.12°, I = 100, (0 2 1); d 3.043, 29.35°, I = 33, (0 1 5); d 2.935, 30.46°, I = 34, (2 0 2); d 2.535, 35.41°, I = 13, (0 2 4); d 2.261, 39.87°, I = 20, (1 1 6); d 2.073, 43.67°, I = 15, (2 1 4); d 1.952, 46.52°, I = 23, (1 2 5); d 1.799, 50.74°, I = 27, (2 2 0)

Entry 7:
This entry pairs a crystal structure of PrHo4Tm4 with its theoretical powder diffractogram. Radiation: copper Kα. Structure: a cell relaxed with GGA-PBE.
Kinematic intensities with the Lorentz-polarization factor, no thermal factor.

Structural model:
```
data_PrHo4Tm4
_cell_length_a 10.5973
_cell_length_b 10.5973
_cell_length_c 4.9839
_cell_angle_alpha 90.00
_cell_angle_beta 90.00
_cell_angle_gamma 90.00
_space_group_name_H-M_alt 'I 4/m m m'
_space_group_IT_number 139
_space_group_name_Hall '-I 4 2'
loop_
_atom_site_label
_atom_site_type_symbol
_atom_site_fract_x
_atom_site_fract_y
_atom_site_fract_z
Pr1 Pr 0.0000 0.0000 0.0000
Ho1 Ho 0.1681 0.1681 0.5000
Tm1 Tm 0.0000 0.3352 0.0000
```

Peak list (6 most intense, 5 to 70 degrees two-theta, in order of rising 2θ)
d 2.882, 31.03°, I = 100, (3 0 1); d 2.496, 35.98°, I = 51, (3 3 0); d 1.765, 51.80°, I = 36, (6 0 0); d 1.506, 61.59°, I = 29, (6 3 1); d 1.503, 61.70°, I = 14, (3 0 3); d 1.441, 64.69°, I = 12, (6 0 2)

Entry 8:
This entry pairs a crystal structure of Y5PuAs6 with its theoretical powder diffractogram. Radiation: copper Kα. Structure: a cell relaxed with GGA-PBE.
Kinematic intensities with the Lorentz-polarization factor, no thermal factor.

Structural model:
```
data_Y5PuAs6
_cell_length_a 7.1472
_cell_length_b 12.3767
_cell_length_c 7.1475
_cell_angle_alpha 90.00
_cell_angle_beta 109.48
_cell_angle_gamma 90.00
_space_group_name_H-M_alt 'C 1 2/m 1'
_space_group_IT_number 12
loop_
_space_group_symop_operation_xyz
'x,y,z'
'-x,-y,-z'
'-x,y,-z'
'x,-y,z'
'x+1/2,y+1/2,z'
'-x+1/2,-y+1/2,-z'
'-x+1/2,y+1/2,-z'
'x+1/2,-y+1/2,z'
loop_
_atom_site_label
_atom_site_type_symbol
_atom_site_fract_x
_atom_site_fract_y
_atom_site_fract_z
Y1 Y 0.0000 0.0000 0.0000
Y2 Y 0.0000 0.1665 0.5000
Y3 Y 0.0000 0.3330 0.0000
Pu1 Pu 0.0000 0.5000 0.5000
As1 As 0.2490 0.3343 0.7496
As2 As 0.2487 0.5000 0.2513
```

Peak list (10 most intense, 5 to 70 degrees two-theta, in order of rising 2θ)
d 6.739, 13.14°, I = 3, (0 0 1); d 5.918, 14.97°, I = 5, (1 1 0); d 5.279, 16.80°, I = 4, (1 1 -1); d 4.558, 19.48°, I = 3, (0 2 1); d 3.369, 26.46°, I = 7, (2 0 0); d 2.918, 30.64°, I = 100, (1 3 1); d 2.063, 43.88°, I = 74, (2 0 2); d 1.760, 51.97°, I = 4, (3 3 1); d 1.685, 54.47°, I = 26, (4 0 0); d 1.459, 63.80°, I = 12, (2 6 2)

What is the formula in the third record? La4PrPb3